[1]
Structure and simulated powder diffraction line list of Sr7SnAs6 (a DFT-relaxed cell (GGA-PBE, Alexandria); Cu Kα).
Neutral-atom scattering factors, no anomalous dispersion.

Unit cell a=8.1485 b=14.9071 c=15.8910 alpha=90.00 beta=90.00 gamma=90.00
Space group Ibam (No. 72)
Symmetry-distinct sites (fractional):
Sr  0.0000  0.0000  0.2500 x4
Sr  0.1207  0.2858  0.1298 x16
Sr  0.2148  0.0483  0.0000 x8
Sn  0.0000  0.5000  0.2500 x4
As  0.1106  0.1551  0.5000 x8
As  0.2046  0.3854  0.3196 x16

Main lines, sorted by position (2θ from 15° to 90°):
| Position (°2θ) | I/Imax | hkl |
| --- | --- | --- |
| 16.68 | 49 | 1 1 2 |
| 25.41 | 100 | 0 2 4 |
| 26.90 | 73 | 1 4 1 |
| 27.36 | 49 | 2 2 2 |
| 32.55 | 50 | 2 4 0 |
| 33.08 | 38 | 2 3 3 |
| 34.51 | 49 | 2 4 2 |
| 36.35 | 34 | 2 1 5 |
| 40.65 | 36 | 2 0 6 |
| 41.65 | 62 | 1 6 3 |

[2]
Structure and simulated powder diffraction line list of KFe2AgBr8 (a DFT-relaxed cell (GGA-PBE, Alexandria); Cu Kα).
Neutral-atom scattering factors, no anomalous dispersion.

Unit cell a=6.8820 b=6.8820 c=9.8197 alpha=90.00 beta=90.00 gamma=120.00
Space group P-3 (No. 147)
Symmetry-distinct sites (fractional):
K  0.0000  0.0000  0.0000 x1
Fe  0.3333  0.6667  0.7514 x2
Ag  0.0000  0.0000  0.5000 x1
Br  0.0101  0.3336  0.6796 x6
Br  0.3333  0.6667  0.9907 x2

Main lines, sorted by position (2θ from 15° to 90°):
| Position (°2θ) | I/Imax | hkl |
| --- | --- | --- |
| 17.41 | 65 | 0 1 1 |
| 27.24 | 29 | 0 0 3 |
| 27.47 | 100 | 1 1 1 |
| 31.76 | 85 | 2 -1 2 |
| 45.38 | 53 | 1 1 4 |
| 45.67 | 54 | 3 0 0 |
| 53.99 | 24 | 3 0 3 |
| 56.69 | 15 | 2 2 2 |
| 66.35 | 16 | 4 -2 4 |
| 84.26 | 17 | 4 1 4 |

[3]
Structure and simulated powder diffraction line list of Th3Sb2P (a DFT-relaxed cell (GGA-PBE, Alexandria); Cu Kα).
Neutral-atom scattering factors, no anomalous dispersion.

Unit cell a=7.5474 b=13.0609 c=7.6811 alpha=90.00 beta=109.13 gamma=90.00
Space group C2/m (No. 12)
Symmetry-distinct sites (fractional):
Th  0.2165  0.0000  0.2177 x4
Th  0.2464  0.1774  0.7735 x8
Sb  0.0000  0.0000  0.5000 x2
Sb  0.0000  0.3426  0.5000 x4
Sb  0.0000  0.5000  0.0000 x2
P  0.0000  0.1690  0.0000 x4

Main lines, sorted by position (2θ from 15° to 90°):
| Position (°2θ) | I/Imax | hkl |
| --- | --- | --- |
| 24.54 | 8 | 0 0 2 |
| 24.98 | 24 | 1 3 -1 |
| 28.80 | 100 | 2 0 -2 |
| 40.89 | 35 | 1 3 -3 |
| 41.46 | 37 | 3 3 -1 |
| 51.27 | 19 | 2 6 -2 |
| 59.65 | 11 | 4 0 -4 |
| 67.16 | 13 | 3 3 -5 |
| 67.97 | 15 | 5 3 -3 |
| 75.24 | 10 | 4 6 -4 |

[4]
Structure and simulated powder diffraction line list of SrLi3Tl2 (a DFT-relaxed cell (GGA-PBE, Alexandria); Cu Kα).
Neutral-atom scattering factors, no anomalous dispersion.

Unit cell a=4.8414 b=4.8414 c=14.9544 alpha=90.00 beta=90.00 gamma=120.00
Space group P6_3/mmc (No. 194)
Symmetry-distinct sites (fractional):
Sr  0.0000  0.0000  0.2500 x2
Li  0.0000  0.0000  0.0000 x2
Li  0.3333  0.6667  0.0852 x4
Tl  0.3333  0.6667  0.6003 x4

Main lines, sorted by position (2θ from 15° to 90°):
| Position (°2θ) | I/Imax | hkl |
| --- | --- | --- |
| 22.02 | 69 | 1 0 1 |
| 24.34 | 30 | 1 0 2 |
| 27.80 | 100 | 1 0 3 |
| 32.08 | 46 | 1 0 4 |
| 37.14 | 59 | 1 1 0 |
| 47.02 | 25 | 2 0 3 |
| 47.78 | 24 | 1 0 7 |
| 52.71 | 29 | 1 1 6 |
| 61.39 | 22 | 2 1 3 |
| 74.57 | 20 | 2 1 7 |

[5]
Structure and simulated powder diffraction line list of Mg3Hg7 (a DFT-relaxed cell (GGA-PBE, Alexandria); Cu Kα).
Neutral-atom scattering factors, no anomalous dispersion.

Unit cell a=9.2584 b=9.2584 c=6.5587 alpha=90.00 beta=90.00 gamma=120.00
Space group P6_3mc (No. 186)
Symmetry-distinct sites (fractional):
Mg  0.2098  0.4196  0.0000 x6
Hg  0.0611  0.5306  0.3153 x6
Hg  0.1126  0.2251  0.4184 x6
Hg  0.3333  0.6667  0.6573 x2

Main lines, sorted by position (2θ from 15° to 90°):
| Position (°2θ) | I/Imax | hkl |
| --- | --- | --- |
| 26.05 | 30 | 2 0 1 |
| 27.19 | 25 | 0 0 2 |
| 29.45 | 75 | 2 1 0 |
| 32.55 | 37 | 2 1 1 |
| 33.51 | 24 | 3 0 0 |
| 35.36 | 38 | 2 0 2 |
| 36.30 | 100 | 3 0 1 |
| 43.69 | 29 | 3 0 2 |
| 51.58 | 23 | 3 2 1 |
| 66.44 | 26 | 3 2 3 |

[6]
Structure and simulated powder diffraction line list of KTi2O4 (a DFT-relaxed cell (GGA-PBE, Alexandria); Cu Kα).
Neutral-atom scattering factors, no anomalous dispersion.

Unit cell a=9.8032 b=3.0069 c=11.1444 alpha=90.00 beta=90.00 gamma=90.00
Space group Pnma (No. 62)
Symmetry-distinct sites (fractional):
K  0.2446  0.2500  0.1572 x4
Ti  0.0691  0.2500  0.3946 x4
Ti  0.0773  0.2500  0.8965 x4
O  0.0208  0.7500  0.7829 x4
O  0.0664  0.2500  0.5702 x4
O  0.1041  0.7500  0.0144 x4
O  0.2102  0.7500  0.3673 x4

Main lines, sorted by position (2θ from 15° to 90°):
| Position (°2θ) | I/Imax | hkl |
| --- | --- | --- |
| 31.74 | 100 | 3 0 2 |
| 32.13 | 56 | 0 0 4 |
| 35.01 | 28 | 2 1 0 |
| 35.13 | 53 | 1 1 2 |
| 39.64 | 39 | 1 1 3 |
| 41.60 | 35 | 3 1 1 |
| 47.88 | 34 | 4 1 0 |
| 48.25 | 34 | 2 1 4 |
| 58.83 | 29 | 4 1 4 |
| 61.69 | 37 | 0 2 0 |